No. 1
Diffraction record for Li2ScGaO4. The powder diffraction line list is calculated, not measured: it uses a cell relaxed with GGA-PBE and CuKα.
Peak positions follow from Bragg's law for the DFT cell and can differ from measured ones.

Crystal structure
```
8
Lattice="5.2346 0.0000 0.0000 0.0000 3.0415 0.0000 -1.7616 0.0000 4.9346" Properties=species:S:1:pos:R:3 pbc="T T T"
Li 0.0000 0.0000 0.0000
Li 2.6173 1.5207 0.0000
Sc -0.8808 1.5207 2.4673
Ga 1.7365 0.0000 2.4673
O 0.0212 0.0000 3.6029
O 0.9253 1.5207 1.3460
O 2.5476 1.5207 3.5886
O 3.4518 0.0000 1.3317
```

The 6 most intense peaks (10 to 90 degrees two-theta), in order of rising 2θ:
- 2θ = 17.98°, I = 100
- 2θ = 34.65°, I = 30
- 2θ = 34.79°, I = 15
- 2θ = 42.20°, I = 79
- 2θ = 55.82°, I = 16
- 2θ = 61.22°, I = 30

No. 2
Diffraction record for K3NpTe3. The powder diffraction line list is calculated, not measured: it uses a cell relaxed with GGA-PBE and CuKα.
Peak positions follow from Bragg's law for the DFT cell and can differ from measured ones.

Crystal structure
```
14
Lattice="4.7138 -7.1914 0.0000 4.7138 7.1914 0.0000 -3.1455 0.0000 8.8212" Properties=species:S:1:pos:R:3 pbc="T T T"
K 4.7138 4.8264 0.0000
K 3.1411 2.7720 4.4106
K 3.4398 0.0000 0.9992
K 2.8423 0.0000 7.8219
K 3.1411 -2.7720 4.4106
K 4.7138 -4.8264 0.0000
Np -0.8766 0.0000 5.4090
Np 7.1588 0.0000 3.4122
Te 0.1857 2.2552 6.9226
Te 0.7266 0.0000 2.8344
Te 0.1857 -2.2552 6.9226
Te 6.0965 2.2552 1.8985
Te 5.5556 0.0000 5.9868
Te 6.0965 -2.2552 1.8985
```

The 6 most intense peaks (10 to 90 degrees two-theta), in order of rising 2θ:
- 2θ = 11.71°, I = 54
- 2θ = 12.31°, I = 52
- 2θ = 13.07°, I = 100
- 2θ = 23.17°, I = 53
- 2θ = 24.80°, I = 97
- 2θ = 35.64°, I = 70

No. 3
Diffraction record for CuRe2AgPd. The powder diffraction line list is calculated, not measured: it uses a cell relaxed with GGA-PBE and CuKα.
Peak positions follow from Bragg's law for the DFT cell and can differ from measured ones.

Crystal structure
```
5
Lattice="4.4680 0.0000 0.0000 0.0000 4.4680 0.0000 0.0000 0.0000 4.5942" Properties=species:S:1:pos:R:3 pbc="T T T"
Cu 0.0000 0.0000 0.0000
Re 0.0000 2.2340 0.0000
Re 2.2340 0.0000 0.0000
Ag 0.0000 0.0000 2.2971
Pd 2.2340 2.2340 2.2971
```

The 6 most intense peaks (10 to 90 degrees two-theta), in order of rising 2θ:
- 2θ = 34.45°, I = 100
- 2θ = 39.22°, I = 28
- 2θ = 40.37°, I = 52
- 2θ = 57.55°, I = 36
- 2θ = 69.62°, I = 26
- 2θ = 72.64°, I = 18

No. 4
Diffraction record for YMgBr4. The powder diffraction line list is calculated, not measured: it uses a cell relaxed with GGA-PBE and CuKα.
Peak positions follow from Bragg's law for the DFT cell and can differ from measured ones.

Crystal structure
```
6
Lattice="7.2904 0.0000 0.0000 0.0000 3.7678 0.0000 -2.1047 0.0000 7.3978" Properties=species:S:1:pos:R:3 pbc="T T T"
Y 0.0000 0.0000 0.0000
Mg 3.6452 1.8839 0.0000
Br 1.4844 1.8839 1.6633
Br 0.3585 0.0000 5.8805
Br 4.8273 0.0000 1.5173
Br 3.7013 1.8839 5.7345
```

The 6 most intense peaks (10 to 90 degrees two-theta), in order of rising 2θ:
- 2θ = 11.96°, I = 96
- 2θ = 28.00°, I = 30
- 2θ = 29.94°, I = 52
- 2θ = 30.93°, I = 100
- 2θ = 42.76°, I = 32
- 2θ = 44.39°, I = 34

No. 5
Diffraction record for RbCaCr2Br8. The powder diffraction line list is calculated, not measured: it uses a cell relaxed with GGA-PBE and CuKα.
Peak positions follow from Bragg's law for the DFT cell and can differ from measured ones.

Crystal structure
```
12
Lattice="7.1129 0.0000 0.0000 -3.5564 6.1599 0.0000 0.0000 0.0000 9.8270" Properties=species:S:1:pos:R:3 pbc="T T T"
Rb 0.0000 0.0000 0.0000
Ca 0.0000 0.0000 4.9135
Cr 0.0000 4.1066 7.1932
Cr 3.5564 2.0533 2.6338
Br -2.3823 4.1682 3.1310
Br 1.1379 2.0127 3.1310
Br 2.3120 0.0209 6.6960
Br 0.0000 4.1066 9.5526
Br 3.5564 2.0533 0.2744
Br 1.2445 6.1390 3.1310
Br 2.4186 4.1473 6.6960
Br 5.9388 1.9918 6.6960
```

The 6 most intense peaks (10 to 90 degrees two-theta), in order of rising 2θ:
- 2θ = 26.66°, I = 100
- 2θ = 27.22°, I = 32
- 2θ = 31.04°, I = 62
- 2θ = 44.10°, I = 41
- 2θ = 44.84°, I = 32
- 2θ = 52.61°, I = 29

No. 6
Diffraction record for KNa6Tl6. The powder diffraction line list is calculated, not measured: it uses a cell relaxed with GGA-PBE and CuKα.
Peak positions follow from Bragg's law for the DFT cell and can differ from measured ones.

Crystal structure
```
13
Lattice="-3.3119 5.5738 5.7174 3.3119 -5.5738 5.7174 3.3119 5.5738 -5.7174" Properties=species:S:1:pos:R:3 pbc="T T T"
K 0.0000 0.0000 0.0000
Na 3.3119 0.0000 2.2148
Na 0.0000 3.7431 0.0000
Na 0.0000 0.0000 3.9776
Na 0.0000 0.0000 7.4573
Na 0.0000 7.4045 0.0000
Na 0.0000 5.5738 3.5026
Tl 1.6559 2.7869 -2.8587
Tl 1.6559 -2.7869 2.8587
Tl 3.3119 2.5977 0.0000
Tl -1.6559 2.7869 2.8587
Tl 1.6559 2.7869 2.8587
Tl 0.0000 2.9761 5.7174
```

The 6 most intense peaks (10 to 90 degrees two-theta), in order of rising 2θ:
- 2θ = 15.47°, I = 35
- 2θ = 15.90°, I = 100
- 2θ = 31.24°, I = 81
- 2θ = 35.21°, I = 77
- 2θ = 35.28°, I = 37
- 2θ = 45.41°, I = 49

No. 7
Diffraction record for Hf4Si2C. The powder diffraction line list is calculated, not measured: it uses a cell relaxed with GGA-PBE and CuKα.
Peak positions follow from Bragg's law for the DFT cell and can differ from measured ones.

Crystal structure
```
14
Lattice="6.8281 0.0000 0.0000 0.0000 10.5236 0.0000 0.0000 0.0000 3.5235" Properties=species:S:1:pos:R:3 pbc="T T T"
Hf 0.8494 2.0477 0.0000
Hf 1.4128 9.9119 1.7617
Hf 2.0013 4.6501 1.7617
Hf 2.5646 7.3095 0.0000
Hf 4.2635 3.2141 0.0000
Hf 4.8268 5.8735 1.7617
Hf 5.4153 0.6117 1.7617
Hf 5.9787 8.4759 0.0000
Si 0.5478 7.0305 1.7617
Si 2.8662 1.7687 1.7617
Si 3.9619 8.7549 1.7617
Si 6.2803 3.4931 1.7617
C 0.0000 0.0000 0.0000
C 3.4141 5.2618 0.0000
```

The 6 most intense peaks (10 to 90 degrees two-theta), in order of rising 2θ:
- 2θ = 15.47°, I = 46
- 2θ = 30.53°, I = 87
- 2θ = 33.30°, I = 75
- 2θ = 36.61°, I = 100
- 2θ = 37.67°, I = 79
- 2θ = 40.57°, I = 37

No. 8
Diffraction record for Hg5BiPb5. The powder diffraction line list is calculated, not measured: it uses a cell relaxed with GGA-PBE and CuKα.
Peak positions follow from Bragg's law for the DFT cell and can differ from measured ones.

Crystal structure
```
11
Lattice="5.7829 0.0000 0.0000 -2.8915 5.0082 0.0000 0.0000 0.0000 11.2295" Properties=species:S:1:pos:R:3 pbc="T T T"
Hg 0.0000 0.0000 2.6206
Hg 0.0000 0.0000 8.6089
Hg 1.4696 0.8485 0.0000
Hg 4.3134 0.8485 0.0000
Hg 2.8915 3.3113 0.0000
Bi 0.0000 3.3388 5.6147
Pb 0.0000 0.0000 5.6147
Pb 0.0000 3.3388 2.1958
Pb 0.0000 3.3388 9.0337
Pb 2.8915 1.6694 3.9269
Pb 2.8915 1.6694 7.3026
```

The 6 most intense peaks (10 to 90 degrees two-theta), in order of rising 2θ:
- 2θ = 29.80°, I = 100
- 2θ = 30.93°, I = 91
- 2θ = 31.93°, I = 54
- 2θ = 36.73°, I = 64
- 2θ = 39.39°, I = 43
- 2θ = 48.72°, I = 37